[1]
Starting from a GGA-PBE-relaxed structure, the XRD peak list of NaLiZnS2 was simulated for Cu Ka.

Crystal structure
Cell: 3.982 3.982 6.824 Å, 90.00 90.00 120.00°
Atoms (fractional coordinates):
1 Na 0.000 0.000 0.000
2 Li 0.333 0.667 0.330
3 Zn 0.667 0.333 0.585
4 S 0.333 0.667 0.708
5 S 0.667 0.333 0.246

Most intense lines, 15° ≤ 2θ ≤ 90°, in order of falling intensity:
2θ 29.01, I 100; 2θ 45.56, I 61; 2θ 25.84, I 61; 2θ 47.91, I 54; 2θ 37.07, I 49; 2θ 26.12, I 22; 2θ 85.95, I 19; 2θ 68.26, I 18; 2θ 53.27, I 16; 2θ 61.94, I 16

***

[2]
Starting from a GGA-PBE-relaxed structure, the XRD peak list of K2ZnH8N4 was simulated for Cu Ka.

Crystal structure
Cell: 7.719 7.330 13.451 Å, 90.00 106.06 90.00°
Atoms (fractional coordinates):
1 K 0.074 0.119 0.397
2 K 0.074 0.381 0.897
3 K 0.422 0.630 0.101
4 K 0.422 0.870 0.601
5 K 0.578 0.130 0.399
6 K 0.578 0.370 0.899
7 K 0.926 0.619 0.103
8 K 0.926 0.881 0.603
9 Zn 0.205 0.220 0.151
10 Zn 0.205 0.280 0.651
11 Zn 0.795 0.720 0.349
12 Zn 0.795 0.780 0.849
13 H 0.084 0.618 0.482
14 H 0.084 0.882 0.982
15 H 0.136 0.727 0.391
16 H 0.136 0.773 0.891
17 H 0.149 0.590 0.734
18 H 0.149 0.910 0.234
19 H 0.165 0.034 0.784
20 H 0.165 0.466 0.284
21 H 0.355 0.585 0.735
22 H 0.355 0.915 0.235
23 H 0.361 0.122 0.016
24 H 0.361 0.378 0.516
25 H 0.372 0.032 0.785
26 H 0.372 0.468 0.285
27 H 0.500 0.237 0.103
28 H 0.500 0.263 0.603
29 H 0.500 0.737 0.397
30 H 0.500 0.763 0.897
31 H 0.628 0.532 0.715
32 H 0.628 0.968 0.215
33 H 0.639 0.622 0.484
34 H 0.639 0.878 0.984
35 H 0.645 0.085 0.765
36 H 0.645 0.415 0.265
37 H 0.835 0.534 0.716
38 H 0.835 0.966 0.216
39 H 0.851 0.090 0.766
40 H 0.851 0.410 0.266
41 H 0.864 0.227 0.109
42 H 0.864 0.273 0.609
43 H 0.916 0.118 0.018
44 H 0.916 0.382 0.518
45 N 0.058 0.739 0.442
46 N 0.058 0.761 0.942
47 N 0.245 0.041 0.735
48 N 0.245 0.459 0.235
49 N 0.257 0.502 0.748
50 N 0.257 0.998 0.248
51 N 0.373 0.245 0.054
52 N 0.373 0.255 0.554
53 N 0.627 0.745 0.446
54 N 0.627 0.755 0.946
55 N 0.743 0.002 0.752
56 N 0.743 0.498 0.252
57 N 0.755 0.541 0.765
58 N 0.755 0.959 0.265
59 N 0.942 0.239 0.058
60 N 0.942 0.261 0.558

Most intense lines, 15° ≤ 2θ ≤ 90°, in order of falling intensity:
2θ 17.01, I 100; 2θ 32.05, I 56; 2θ 33.67, I 51; 2θ 15.49, I 49; 2θ 39.42, I 36; 2θ 33.32, I 34; 2θ 20.57, I 32; 2θ 26.92, I 30; 2θ 30.94, I 28; 2θ 29.49, I 27

***

[3]
Starting from a GGA-PBE-relaxed structure, the XRD peak list of PrSbO4 was simulated for Cu Ka.

Crystal structure
Cell: 5.400 5.182 13.882 Å, 90.00 110.76 90.00°
Atoms (fractional coordinates):
1 Pr 0.160 0.224 0.165
2 Pr 0.160 0.276 0.665
3 Pr 0.840 0.724 0.335
4 Pr 0.840 0.776 0.835
5 Sb 0.424 0.249 0.430
6 Sb 0.424 0.251 0.930
7 Sb 0.576 0.749 0.070
8 Sb 0.576 0.751 0.570
9 O 0.095 0.116 0.327
10 O 0.095 0.384 0.827
11 O 0.250 0.566 0.464
12 O 0.250 0.934 0.964
13 O 0.349 0.070 0.550
14 O 0.349 0.430 0.050
15 O 0.484 0.607 0.683
16 O 0.484 0.893 0.183
17 O 0.516 0.107 0.817
18 O 0.516 0.393 0.317
19 O 0.651 0.570 0.950
20 O 0.651 0.930 0.450
21 O 0.750 0.066 0.036
22 O 0.750 0.434 0.536
23 O 0.905 0.616 0.173
24 O 0.905 0.884 0.673

Most intense lines, 15° ≤ 2θ ≤ 90°, in order of falling intensity:
2θ 24.62, I 100; 2θ 24.96, I 90; 2θ 32.56, I 64; 2θ 26.88, I 40; 2θ 25.91, I 38; 2θ 47.97, I 38; 2θ 48.73, I 37; 2θ 46.40, I 37; 2θ 34.62, I 34; 2θ 33.20, I 30